1.
Ni15Ge: computed PXRD pattern (CuKα), based on DFT lattice parameters and positions (GGA-PBE).
No peak broadening, texture or thermal motion is included.

Atomic structure:
a b c (Å): 3.5497 3.5494 40.6950
angles (deg): 90.00 90.00 90.00
Element x y z (fractional)
Ni (0.2500, 0.0000, 0.0211)
Ni (0.2500, 0.0000, 0.1064)
Ni (0.2500, 0.0000, 0.1912)
Ni (0.2500, 0.0000, 0.2763)
Ni (0.2500, 0.0000, 0.6789)
Ni (0.2500, 0.0000, 0.7660)
Ni (0.2500, 0.0000, 0.8516)
Ni (0.2500, 0.0000, 0.9363)
Ni (0.2500, 0.5000, 0.0636)
Ni (0.2500, 0.5000, 0.1487)
Ni (0.2500, 0.5000, 0.2328)
Ni (0.2500, 0.5000, 0.7237)
Ni (0.2500, 0.5000, 0.8088)
Ni (0.2500, 0.5000, 0.8936)
Ni (0.2500, 0.5000, 0.9789)
Ni (0.7500, 0.0000, 0.0637)
Ni (0.7500, 0.0000, 0.1484)
Ni (0.7500, 0.0000, 0.2340)
Ni (0.7500, 0.0000, 0.3211)
Ni (0.7500, 0.0000, 0.7237)
Ni (0.7500, 0.0000, 0.8088)
Ni (0.7500, 0.0000, 0.8936)
Ni (0.7500, 0.0000, 0.9789)
Ni (0.7500, 0.5000, 0.0211)
Ni (0.7500, 0.5000, 0.1064)
Ni (0.7500, 0.5000, 0.1912)
Ni (0.7500, 0.5000, 0.2763)
Ni (0.7500, 0.5000, 0.7672)
Ni (0.7500, 0.5000, 0.8513)
Ni (0.7500, 0.5000, 0.9364)
Ge (0.2500, 0.5000, 0.3190)
Ge (0.7500, 0.5000, 0.6810)

The 8 most intense peaks (2θ from 10° to 90°), in order of falling intensity:
d_spacing	2θ/deg	I/Imax
2.017	44.93	100
1.774	51.50	47
2.077	43.58	46
1.769	51.67	15
1.253	75.94	15
1.255	75.81	13
1.226	77.92	13
1.696	54.08	10



2.
Ni19Ge12: computed PXRD pattern (CuKα), based on DFT lattice parameters and positions (GGA-PBE).
No peak broadening, texture or thermal motion is included.

Atomic structure:
a b c (Å): 6.7389 6.7389 10.0853
angles (deg): 90.32 90.32 59.90
Element x y z (fractional)
Ni (0.0000, 0.0000, 0.0000)
Ni (0.0095, 0.6599, 0.1234)
Ni (0.3177, 0.0012, 0.6258)
Ni (0.3317, 0.6552, 0.7466)
Ni (0.3386, 0.0067, 0.3749)
Ni (0.3398, 0.3334, 0.5113)
Ni (0.3401, 0.9905, 0.8766)
Ni (0.3448, 0.6683, 0.2534)
Ni (0.3483, 0.0042, 0.1236)
Ni (0.6518, 0.3259, 0.1231)
Ni (0.6656, 0.0060, 0.7522)
Ni (0.6666, 0.6602, 0.4887)
Ni (0.6741, 0.3482, 0.8769)
Ni (0.6768, 0.3042, 0.3746)
Ni (0.6958, 0.3232, 0.6254)
Ni (0.9933, 0.6614, 0.6251)
Ni (0.9940, 0.3344, 0.2478)
Ni (0.9958, 0.6517, 0.8764)
Ni (0.9988, 0.6823, 0.3742)
Ge (0.0032, 0.0276, 0.7543)
Ge (0.0054, 0.3020, 0.4964)
Ge (0.2931, 0.3277, 0.7583)
Ge (0.2978, 0.7022, 0.5000)
Ge (0.3526, 0.6474, 0.0000)
Ge (0.3569, 0.3105, 0.2521)
Ge (0.6495, 0.0006, 0.9995)
Ge (0.6723, 0.7069, 0.2417)
Ge (0.6895, 0.6431, 0.7479)
Ge (0.6980, 0.9946, 0.5036)
Ge (0.9724, 0.9968, 0.2457)
Ge (0.9994, 0.3505, 0.0005)

The 8 most intense peaks (2θ from 10° to 90°), in order of falling intensity:
d_spacing	2θ/deg	I/Imax
1.944	46.72	100
2.018	44.93	40
2.024	44.78	39
2.013	45.03	37
2.798	31.99	26
1.134	85.62	13
1.399	66.86	10
1.404	66.59	10



3.
Ni8Ge: computed PXRD pattern (CuKα), based on DFT lattice parameters and positions (GGA-PBE).
No peak broadening, texture or thermal motion is included.

Atomic structure:
a b c (Å): 4.2700 4.2700 28.3649
angles (deg): 90.16 90.16 48.49
Element x y z (fractional)
Ni (0.0498, 0.0498, 0.0416)
Ni (0.1510, 0.1510, 0.8476)
Ni (0.1515, 0.1515, 0.1247)
Ni (0.2500, 0.2500, 0.2107)
Ni (0.2508, 0.2508, 0.9312)
Ni (0.3503, 0.3503, 0.0141)
Ni (0.4492, 0.4492, 0.8183)
Ni (0.4500, 0.4500, 0.0973)
Ni (0.5500, 0.5500, 0.9027)
Ni (0.5508, 0.5508, 0.1817)
Ni (0.6497, 0.6497, 0.9859)
Ni (0.7492, 0.7492, 0.0688)
Ni (0.7500, 0.7500, 0.7893)
Ni (0.8485, 0.8485, 0.8753)
Ni (0.8490, 0.8490, 0.1524)
Ni (0.9502, 0.9502, 0.9584)
Ge (0.0510, 0.0510, 0.7653)
Ge (0.9490, 0.9490, 0.2347)

The 8 most intense peaks (2θ from 10° to 90°), in order of falling intensity:
d_spacing	2θ/deg	I/Imax
2.006	45.20	100
2.003	45.28	90
2.038	44.45	82
2.121	42.63	71
1.753	52.18	65
1.799	50.74	42
1.704	53.81	38
1.750	52.27	26



4.
Ni7Ge2: computed PXRD pattern (CuKα), based on DFT lattice parameters and positions (GGA-PBE).
No peak broadening, texture or thermal motion is included.

Atomic structure:
a b c (Å): 2.6007 2.6007 30.3863
angles (deg): 90.00 90.00 120.00
Element x y z (fractional)
Ni (0.0000, 0.0000, 0.0000)
Ni (0.0000, 0.0000, 0.1945)
Ni (0.0000, 0.0000, 0.8055)
Ni (0.3333, 0.6667, 0.1293)
Ni (0.3333, 0.6667, 0.9353)
Ni (0.6667, 0.3333, 0.0647)
Ni (0.6667, 0.3333, 0.8707)
Ge (0.3333, 0.6667, 0.7387)
Ge (0.6667, 0.3333, 0.2613)

The 8 most intense peaks (2θ from 10° to 90°), in order of falling intensity:
d_spacing	2θ/deg	I/Imax
2.112	42.82	100
1.809	50.44	57
2.058	44.00	37
1.300	72.75	29
1.746	52.42	28
2.026	44.74	25
7.597	11.65	21
2.159	41.83	20



5.
Si17NiGe13P: computed PXRD pattern (CuKα), based on DFT lattice parameters and positions (GGA-PBE).
No peak broadening, texture or thermal motion is included.

Atomic structure:
a b c (Å): 5.5726 3.9417 30.8239
angles (deg): 90.00 90.09 90.00
Element x y z (fractional)
Si (0.0000, 0.0000, 0.0000)
Si (0.9995, 0.0000, 0.4857)
Si (0.0014, 0.0000, 0.7375)
Si (0.0106, 0.0000, 0.0957)
Si (0.0116, 0.0000, 0.8650)
Si (0.2461, 0.0000, 0.2910)
Si (0.2477, 0.0000, 0.8006)
Si (0.2500, 0.0000, 0.5471)
Si (0.2607, 0.0000, 0.6764)
Si (0.5006, 0.5000, 0.6757)
Si (0.5059, 0.5000, 0.1676)
Si (0.5109, 0.5000, 0.4233)
Si (0.7559, 0.5000, 0.2292)
Si (0.7583, 0.5000, 0.9939)
Si (0.7600, 0.5000, 0.7360)
Si (0.7619, 0.5000, 0.4846)
Si (0.9967, 0.0000, 0.2283)
Ni (0.3049, 0.0000, 0.0473)
Ge (0.0102, 0.0000, 0.3569)
Ge (0.0118, 0.0000, 0.6122)
Ge (0.2462, 0.0000, 0.9327)
Ge (0.2538, 0.0000, 0.1634)
Ge (0.2618, 0.0000, 0.4234)
Ge (0.4967, 0.5000, 0.2922)
Ge (0.4988, 0.5000, 0.5464)
Ge (0.4999, 0.5000, 0.7987)
Ge (0.5114, 0.5000, 0.9297)
Ge (0.7482, 0.5000, 0.3584)
Ge (0.7496, 0.5000, 0.6121)
Ge (0.7588, 0.5000, 0.1042)
Ge (0.7606, 0.5000, 0.8637)
P (0.4780, 0.5000, 0.0470)

The 8 most intense peaks (2θ from 10° to 90°), in order of falling intensity:
d_spacing	2θ/deg	I/Imax
3.218	27.72	100
3.169	28.16	95
1.959	46.34	88
1.674	54.86	39
1.971	46.05	25
1.927	47.18	17
7.706	11.48	17
1.680	54.62	15



6.
Si17NiGe13P: computed PXRD pattern (CuKα), based on DFT lattice parameters and positions (GGA-PBE).
No peak broadening, texture or thermal motion is included.

Atomic structure:
a b c (Å): 6.8430 10.3194 10.3271
angles (deg): 81.23 83.59 71.18
Element x y z (fractional)
Si (0.0000, 0.0000, 0.0000)
Si (0.0003, 0.3743, 0.8828)
Si (0.0069, 0.8687, 0.3815)
Si (0.0095, 0.2480, 0.2575)
Si (0.1302, 0.2626, 0.4577)
Si (0.1342, 0.1419, 0.8381)
Si (0.1387, 0.6424, 0.3285)
Si (0.1423, 0.7685, 0.9485)
Si (0.4989, 0.0410, 0.8292)
Si (0.5055, 0.5696, 0.3105)
Si (0.5087, 0.9370, 0.1892)
Si (0.5115, 0.7028, 0.9265)
Si (0.5141, 0.3127, 0.0606)
Si (0.6276, 0.7092, 0.1359)
Si (0.6308, 0.5776, 0.5136)
Si (0.6320, 0.0778, 0.0183)
Si (0.6347, 0.4616, 0.8957)
Ni (0.6605, 0.8280, 0.7759)
Ge (0.0046, 0.5011, 0.5000)
Ge (0.0056, 0.6304, 0.1249)
Ge (0.0069, 0.1226, 0.6357)
Ge (0.1323, 0.5174, 0.7122)
Ge (0.1330, 0.0123, 0.2070)
Ge (0.1363, 0.8812, 0.5868)
Ge (0.1398, 0.3868, 0.0824)
Ge (0.5031, 0.1859, 0.4426)
Ge (0.5145, 0.4363, 0.6934)
Ge (0.5188, 0.8008, 0.5928)
Ge (0.6256, 0.1900, 0.6565)
Ge (0.6329, 0.9441, 0.3980)
Ge (0.6356, 0.3320, 0.2658)
P (0.9984, 0.7503, 0.7633)

The 8 most intense peaks (2θ from 10° to 90°), in order of falling intensity:
d_spacing	2θ/deg	I/Imax
3.196	27.91	100
3.231	27.61	50
3.173	28.12	49
1.971	46.04	47
1.667	55.10	33
1.964	46.22	23
1.959	46.35	23
1.681	54.58	23